This entry pairs a crystal structure of Li3Mn8O16 with its simulated XRD peak list. Radiation: a wavelength of 1.5418 Å. Structure: a crystal structure in Alexandria, relaxed with PBE+U.
Intensities are scaled so that the largest is 100.

Cell and atoms:
```
Li3Mn8O16
1.0
5.8437 0.0000 0.0000
0.0000 5.8437 0.0000
0.0000 0.0000 8.7115
Li Mn O
3 8 16
Cartesian
0.0000 0.0000 0.0000 Li
0.0000 2.9219 6.4859 Li
2.9219 0.0000 2.2256 Li
0.0000 1.4540 3.2295 Mn
0.0000 4.3898 3.2295 Mn
1.4415 2.9219 1.0459 Mn
1.4540 0.0000 5.4820 Mn
2.9219 1.4415 7.6656 Mn
2.9219 4.4022 7.6656 Mn
4.3898 0.0000 5.4820 Mn
4.4022 2.9219 1.0459 Mn
0.0000 1.3028 5.3700 O
0.0000 1.6469 1.0463 O
0.0000 4.1968 1.0463 O
0.0000 4.5409 5.3700 O
1.3028 0.0000 3.3414 O
1.3018 2.9219 2.9540 O
1.6240 2.9219 7.7705 O
1.6469 0.0000 7.6652 O
2.9219 1.3018 5.7575 O
2.9219 1.6240 0.9410 O
2.9219 4.2197 0.9410 O
2.9219 4.5419 5.7575 O
4.1968 0.0000 7.6652 O
4.2197 2.9219 7.7705 O
4.5409 0.0000 3.3414 O
4.5419 2.9219 2.9540 O
```

Largest 6 diffraction maxima, by angle, 2θ = 10–90°:
- (1 0 1), 2θ = 18.28°, I = 100
- (1 0 3), 2θ = 34.49°, I = 15
- (2 1 1), 2θ = 35.87°, I = 27
- (0 0 4), 2θ = 41.46°, I = 19
- (2 2 0), 2θ = 43.82°, I = 34
- (2 2 4), 2θ = 61.90°, I = 20